[1]
Calculated X-ray diffraction stick pattern of Cu2PdPt3 for Cu Kα, from a cell relaxed with PBE.

Main lines, low angle first (15 to 90 degrees two-theta):
d (Å)  I_rel
4.327  35
2.242  100
2.237  99
1.945  65
1.928  32
1.369  41

Structure:
```
data_Cu2PdPt3
_chemical_formula_sum 'Cu4 Pd2 Pt6'
_cell_length_a 4.740
_cell_length_b 4.740
_cell_length_c 8.680
_cell_angle_alpha 100.58
_cell_angle_beta 100.58
_cell_angle_gamma 108.90
_space_group_name_H-M_alt 'P 1'
_space_group_IT_number 1
loop_
_space_group_symop_operation_xyz
'x,y,z'
loop_
_atom_site_label
_atom_site_type_symbol
_atom_site_fract_x
_atom_site_fract_y
_atom_site_fract_z
Cu1 Cu 0.043 0.292 0.084
Cu2 Cu 0.292 0.043 0.584
Cu3 Cu 0.708 0.957 0.416
Cu4 Cu 0.957 0.708 0.916
Pd1 Pd 0.125 0.875 0.250
Pd2 Pd 0.875 0.125 0.750
Pt1 Pt 0.211 0.461 0.422
Pt2 Pt 0.375 0.625 0.750
Pt3 Pt 0.461 0.211 0.922
Pt4 Pt 0.539 0.789 0.078
Pt5 Pt 0.625 0.375 0.250
Pt6 Pt 0.789 0.539 0.578
```

[2]
Calculated X-ray diffraction stick pattern of Ac3GePbO for Cu Kα, from a cell relaxed with PBE.

Main lines, low angle first (15 to 90 degrees two-theta):
d (Å)  I_rel
3.273  19
3.250  100
3.221  12
2.555  26
2.225  16
1.837  13

Structure:
```
data_Ac3GePbO
_chemical_formula_sum 'Ac6 Ge2 Pb2 O2'
_cell_length_a 9.883
_cell_length_b 4.450
_cell_length_c 9.989
_cell_angle_alpha 90.00
_cell_angle_beta 102.15
_cell_angle_gamma 90.00
_space_group_name_H-M_alt 'P 1'
_space_group_IT_number 1
loop_
_space_group_symop_operation_xyz
'x,y,z'
loop_
_atom_site_label
_atom_site_type_symbol
_atom_site_fract_x
_atom_site_fract_y
_atom_site_fract_z
Ac1 Ac 0.071 0.250 0.339
Ac2 Ac 0.336 0.250 0.980
Ac3 Ac 0.387 0.750 0.655
Ac4 Ac 0.613 0.250 0.345
Ac5 Ac 0.664 0.750 0.020
Ac6 Ac 0.929 0.750 0.661
Ge1 Ge 0.159 0.250 0.664
Ge2 Ge 0.841 0.750 0.336
Pb1 Pb 0.320 0.750 0.274
Pb2 Pb 0.680 0.250 0.726
O1 O 0.419 0.750 0.909
O2 O 0.581 0.250 0.091
```

[3]
Calculated X-ray diffraction stick pattern of PrAuS2 for Cu Kα, from a cell relaxed with PBE.

Main lines, low angle first (15 to 90 degrees two-theta):
d (Å)  I_rel
3.678  23
3.590  100
3.128  43
2.232  30
2.192  34
1.883  23

Structure:
```
data_PrAuS2
_chemical_formula_sum 'Pr1 Au1 S2'
_cell_length_a 7.780
_cell_length_b 7.780
_cell_length_c 7.780
_cell_angle_alpha 32.73
_cell_angle_beta 32.73
_cell_angle_gamma 32.73
_space_group_name_H-M_alt 'P 1'
_space_group_IT_number 1
loop_
_space_group_symop_operation_xyz
'x,y,z'
loop_
_atom_site_label
_atom_site_type_symbol
_atom_site_fract_x
_atom_site_fract_y
_atom_site_fract_z
Pr1 Pr 0.000 0.000 0.000
Au1 Au 0.500 0.500 0.500
S1 S 0.396 0.396 0.396
S2 S 0.604 0.604 0.604
```

[4]
Calculated X-ray diffraction stick pattern of La5N4 for Cu Kα, from a cell relaxed with PBE.

Main lines, low angle first (15 to 90 degrees two-theta):
d (Å)  I_rel
3.295  56
3.089  100
2.330  24
1.860  43
1.748  18
1.544  13

Structure:
```
data_La5N4
_chemical_formula_sum 'La5 N4'
_cell_length_a 7.650
_cell_length_b 7.650
_cell_length_c 7.650
_cell_angle_alpha 94.17
_cell_angle_beta 94.17
_cell_angle_gamma 148.71
_space_group_name_H-M_alt 'P 1'
_space_group_IT_number 1
loop_
_space_group_symop_operation_xyz
'x,y,z'
loop_
_atom_site_label
_atom_site_type_symbol
_atom_site_fract_x
_atom_site_fract_y
_atom_site_fract_z
La1 La 0.000 0.000 0.000
La2 La 0.223 0.387 0.610
La3 La 0.387 0.777 0.164
La4 La 0.613 0.223 0.836
La5 La 0.777 0.613 0.390
N1 N 0.169 0.173 0.342
N2 N 0.173 0.831 0.004
N3 N 0.827 0.169 0.996
N4 N 0.831 0.827 0.658
```

[5]
Calculated X-ray diffraction stick pattern of Ho14TmZr for Cu Kα, from a cell relaxed with PBE.

Main lines, low angle first (15 to 90 degrees two-theta):
d (Å)  I_rel
2.854  100
2.474  34
2.467  17
1.748  36
1.492  28
1.489  14

Structure:
```
data_Ho14TmZr
_chemical_formula_sum 'Ho14 Tm1 Zr1'
_cell_length_a 6.998
_cell_length_b 6.998
_cell_length_c 9.870
_cell_angle_alpha 90.00
_cell_angle_beta 90.00
_cell_angle_gamma 90.00
_space_group_name_H-M_alt 'P 1'
_space_group_IT_number 1
loop_
_space_group_symop_operation_xyz
'x,y,z'
loop_
_atom_site_label
_atom_site_type_symbol
_atom_site_fract_x
_atom_site_fract_y
_atom_site_fract_z
Ho1 Ho 0.000 0.000 0.000
Ho2 Ho 0.000 0.500 0.000
Ho3 Ho 0.000 0.500 0.500
Ho4 Ho 0.246 0.246 0.255
Ho5 Ho 0.246 0.246 0.745
Ho6 Ho 0.246 0.754 0.255
Ho7 Ho 0.246 0.754 0.745
Ho8 Ho 0.500 0.000 0.000
Ho9 Ho 0.500 0.000 0.500
Ho10 Ho 0.500 0.500 0.000
Ho11 Ho 0.754 0.246 0.255
Ho12 Ho 0.754 0.246 0.745
Ho13 Ho 0.754 0.754 0.255
Ho14 Ho 0.754 0.754 0.745
Tm1 Tm 0.500 0.500 0.500
Zr1 Zr 0.000 0.000 0.500
```

[6]
Calculated X-ray diffraction stick pattern of Li5InAu6 for Cu Kα, from a cell relaxed with PBE.

Main lines, low angle first (15 to 90 degrees two-theta):
d (Å)  I_rel
3.352  56
3.111  100
2.287  67
2.274  66
2.212  33
2.188  30

Structure:
```
data_Li5InAu6
_chemical_formula_sum 'Li5 In1 Au6'
_cell_length_a 7.686
_cell_length_b 7.686
_cell_length_c 4.425
_cell_angle_alpha 106.51
_cell_angle_beta 106.51
_cell_angle_gamma 117.26
_space_group_name_H-M_alt 'P 1'
_space_group_IT_number 1
loop_
_space_group_symop_operation_xyz
'x,y,z'
loop_
_atom_site_label
_atom_site_type_symbol
_atom_site_fract_x
_atom_site_fract_y
_atom_site_fract_z
Li1 Li 0.000 0.000 0.000
Li2 Li 0.172 0.828 0.500
Li3 Li 0.341 0.659 0.000
Li4 Li 0.659 0.341 0.000
Li5 Li 0.828 0.172 0.500
In1 In 0.500 0.500 0.500
Au1 Au 0.061 0.407 0.234
Au2 Au 0.223 0.223 0.724
Au3 Au 0.407 0.061 0.234
Au4 Au 0.593 0.939 0.766
Au5 Au 0.777 0.777 0.276
Au6 Au 0.939 0.593 0.766
```

[7]
Calculated X-ray diffraction stick pattern of Tb5IrPb4 for Cu Kα, from a cell relaxed with PBE.

Main lines, low angle first (15 to 90 degrees two-theta):
d (Å)  I_rel
3.125  54
3.083  100
2.482  18
2.195  73
2.180  31
1.788  30

Structure:
```
data_Tb5IrPb4
_chemical_formula_sum 'Tb5 Ir1 Pb4'
_cell_length_a 7.570
_cell_length_b 7.570
_cell_length_c 7.570
_cell_angle_alpha 99.81
_cell_angle_beta 99.81
_cell_angle_gamma 131.24
_space_group_name_H-M_alt 'P 1'
_space_group_IT_number 1
loop_
_space_group_symop_operation_xyz
'x,y,z'
loop_
_atom_site_label
_atom_site_type_symbol
_atom_site_fract_x
_atom_site_fract_y
_atom_site_fract_z
Tb1 Tb 0.000 0.000 0.000
Tb2 Tb 0.156 0.314 0.641
Tb3 Tb 0.314 0.673 0.158
Tb4 Tb 0.515 0.156 0.842
Tb5 Tb 0.673 0.515 0.359
Ir1 Ir 0.476 0.476 0.000
Pb1 Pb 0.229 0.990 0.393
Pb2 Pb 0.597 0.837 0.607
Pb3 Pb 0.837 0.229 0.240
Pb4 Pb 0.990 0.597 0.760
```

[8]
Calculated X-ray diffraction stick pattern of PrMn9Si4 for Cu Kα, from a cell relaxed with PBE.

Main lines, low angle first (15 to 90 degrees two-theta):
d (Å)  I_rel
2.586  31
2.515  26
2.346  34
2.292  100
1.947  32
1.906  40

Structure:
```
data_PrMn9Si4
_chemical_formula_sum 'Pr2 Mn18 Si8'
_cell_length_a 8.071
_cell_length_b 8.071
_cell_length_c 8.071
_cell_angle_alpha 121.56
_cell_angle_beta 121.56
_cell_angle_gamma 87.32
_space_group_name_H-M_alt 'P 1'
_space_group_IT_number 1
loop_
_space_group_symop_operation_xyz
'x,y,z'
loop_
_atom_site_label
_atom_site_type_symbol
_atom_site_fract_x
_atom_site_fract_y
_atom_site_fract_z
Pr1 Pr 0.250 0.250 0.000
Pr2 Pr 0.750 0.750 0.000
Mn1 Mn 0.000 0.500 0.500
Mn2 Mn 0.058 0.558 0.263
Mn3 Mn 0.058 0.809 0.867
Mn4 Mn 0.191 0.058 0.249
Mn5 Mn 0.206 0.942 0.500
Mn6 Mn 0.294 0.794 0.737
Mn7 Mn 0.309 0.558 0.867
Mn8 Mn 0.442 0.309 0.751
Mn9 Mn 0.442 0.706 0.500
Mn10 Mn 0.500 0.000 0.500
Mn11 Mn 0.558 0.294 0.500
Mn12 Mn 0.558 0.691 0.249
Mn13 Mn 0.691 0.442 0.133
Mn14 Mn 0.706 0.206 0.263
Mn15 Mn 0.794 0.058 0.500
Mn16 Mn 0.809 0.942 0.751
Mn17 Mn 0.942 0.191 0.133
Mn18 Mn 0.942 0.442 0.737
Si1 Si 0.055 0.202 0.500
Si2 Si 0.202 0.702 0.147
Si3 Si 0.298 0.445 0.500
Si4 Si 0.445 0.945 0.147
Si5 Si 0.555 0.055 0.853
Si6 Si 0.702 0.555 0.500
Si7 Si 0.798 0.298 0.853
Si8 Si 0.945 0.798 0.500
```

[9]
Calculated X-ray diffraction stick pattern of ThAlZn2Ni for Cu Kα, from a cell relaxed with PBE.

Main lines, low angle first (15 to 90 degrees two-theta):
d (Å)  I_rel
5.676  34
2.825  38
2.791  40
2.705  46
2.529  100
1.990  29

Structure:
```
data_ThAlZn2Ni
_chemical_formula_sum 'Th1 Al1 Zn2 Ni1'
_cell_length_a 6.343
_cell_length_b 6.343
_cell_length_c 6.343
_cell_angle_alpha 144.49
_cell_angle_beta 141.95
_cell_angle_gamma 53.02
_space_group_name_H-M_alt 'P 1'
_space_group_IT_number 1
loop_
_space_group_symop_operation_xyz
'x,y,z'
loop_
_atom_site_label
_atom_site_type_symbol
_atom_site_fract_x
_atom_site_fract_y
_atom_site_fract_z
Th1 Th 0.000 0.000 0.000
Al1 Al 0.265 0.765 0.500
Zn1 Zn 0.621 0.621 0.000
Zn2 Zn 0.769 0.269 0.500
Ni1 Ni 0.404 0.404 0.000
```

[10]
Calculated X-ray diffraction stick pattern of Na2Nb4Se4O19 for Cu Kα, from a cell relaxed with PBE.

Main lines, low angle first (15 to 90 degrees two-theta):
d (Å)  I_rel
5.081  58
3.980  97
3.567  93
3.445  100
3.245  59
3.161  52

Structure:
```
data_Na2Nb4Se4O19
_chemical_formula_sum 'Na2 Nb4 Se4 O19'
_cell_length_a 4.013
_cell_length_b 10.415
_cell_length_c 11.163
_cell_angle_alpha 106.30
_cell_angle_beta 90.33
_cell_angle_gamma 96.90
_space_group_name_H-M_alt 'P 1'
_space_group_IT_number 1
loop_
_space_group_symop_operation_xyz
'x,y,z'
loop_
_atom_site_label
_atom_site_type_symbol
_atom_site_fract_x
_atom_site_fract_y
_atom_site_fract_z
Na1 Na 0.240 0.066 0.137
Na2 Na 0.760 0.934 0.863
Nb1 Nb 0.352 0.192 0.705
Nb2 Nb 0.432 0.444 0.319
Nb3 Nb 0.568 0.556 0.681
Nb4 Nb 0.648 0.808 0.295
Se1 Se 0.277 0.718 0.984
Se2 Se 0.342 0.831 0.587
Se3 Se 0.658 0.169 0.413
Se4 Se 0.723 0.282 0.016
O1 O 0.029 0.574 0.691
O2 O 0.106 0.818 0.294
O3 O 0.239 0.868 0.961
O4 O 0.335 0.982 0.701
O5 O 0.362 0.125 0.514
O6 O 0.400 0.237 0.329
O7 O 0.412 0.232 0.891
O8 O 0.438 0.349 0.127
O9 O 0.464 0.376 0.700
O10 O 0.500 0.500 0.500
O11 O 0.536 0.624 0.300
O12 O 0.562 0.651 0.873
O13 O 0.588 0.768 0.109
O14 O 0.600 0.763 0.671
O15 O 0.638 0.875 0.486
O16 O 0.665 0.018 0.299
O17 O 0.761 0.132 0.039
O18 O 0.894 0.182 0.706
O19 O 0.971 0.426 0.309
```

[11]
Calculated X-ray diffraction stick pattern of Mn3CrNi12 for Cu Kα, from a cell relaxed with PBE.

Main lines, low angle first (15 to 90 degrees two-theta):
d (Å)  I_rel
2.051  100
1.780  15
1.775  31
1.257  18
1.255  9

Structure:
```
data_Mn3CrNi12
_chemical_formula_sum 'Mn3 Cr1 Ni12'
_cell_length_a 3.549
_cell_length_b 3.549
_cell_length_c 14.243
_cell_angle_alpha 90.00
_cell_angle_beta 90.00
_cell_angle_gamma 90.00
_space_group_name_H-M_alt 'P 1'
_space_group_IT_number 1
loop_
_space_group_symop_operation_xyz
'x,y,z'
loop_
_atom_site_label
_atom_site_type_symbol
_atom_site_fract_x
_atom_site_fract_y
_atom_site_fract_z
Mn1 Mn 0.000 0.000 0.000
Mn2 Mn 0.000 0.000 0.250
Mn3 Mn 0.000 0.000 0.750
Cr1 Cr 0.000 0.000 0.500
Ni1 Ni 0.000 0.500 0.126
Ni2 Ni 0.000 0.500 0.378
Ni3 Ni 0.000 0.500 0.622
Ni4 Ni 0.000 0.500 0.874
Ni5 Ni 0.500 0.000 0.126
Ni6 Ni 0.500 0.000 0.378
Ni7 Ni 0.500 0.000 0.622
Ni8 Ni 0.500 0.000 0.874
Ni9 Ni 0.500 0.500 0.000
Ni10 Ni 0.500 0.500 0.252
Ni11 Ni 0.500 0.500 0.500
Ni12 Ni 0.500 0.500 0.748
```

[12]
Calculated X-ray diffraction stick pattern of Tb2Mn2InRh5 for Cu Kα, from a cell relaxed with PBE.

Main lines, low angle first (15 to 90 degrees two-theta):
d (Å)  I_rel
2.828  40
2.520  33
2.364  100
2.335  56
2.175  36
1.875  26

Structure:
```
data_Tb2Mn2InRh5
_chemical_formula_sum 'Tb4 Mn4 In2 Rh10'
_cell_length_a 9.629
_cell_length_b 9.629
_cell_length_c 3.749
_cell_angle_alpha 90.00
_cell_angle_beta 90.00
_cell_angle_gamma 90.00
_space_group_name_H-M_alt 'P 1'
_space_group_IT_number 1
loop_
_space_group_symop_operation_xyz
'x,y,z'
loop_
_atom_site_label
_atom_site_type_symbol
_atom_site_fract_x
_atom_site_fract_y
_atom_site_fract_z
Tb1 Tb 0.179 0.321 0.000
Tb2 Tb 0.321 0.821 0.000
Tb3 Tb 0.679 0.179 0.000
Tb4 Tb 0.821 0.679 0.000
Mn1 Mn 0.119 0.619 0.000
Mn2 Mn 0.381 0.119 0.000
Mn3 Mn 0.619 0.881 0.000
Mn4 Mn 0.881 0.381 0.000
In1 In 0.000 0.000 0.000
In2 In 0.500 0.500 0.000
Rh1 Rh 0.000 0.500 0.500
Rh2 Rh 0.067 0.789 0.500
Rh3 Rh 0.211 0.067 0.500
Rh4 Rh 0.289 0.567 0.500
Rh5 Rh 0.433 0.289 0.500
Rh6 Rh 0.500 0.000 0.500
Rh7 Rh 0.567 0.711 0.500
Rh8 Rh 0.711 0.433 0.500
Rh9 Rh 0.789 0.933 0.500
Rh10 Rh 0.933 0.211 0.500
```

What did the tenth record say?
Calculated X-ray diffraction stick pattern of Na2Nb4Se4O19 for Cu Kα, from a cell relaxed with PBE.

Main lines, low angle first (15 to 90 degrees two-theta):
d (Å)  I_rel
5.081  58
3.980  97
3.567  93
3.445  100
3.245  59
3.161  52

Structure:
```
data_Na2Nb4Se4O19
_chemical_formula_sum 'Na2 Nb4 Se4 O19'
_cell_length_a 4.013
_cell_length_b 10.415
_cell_length_c 11.163
_cell_angle_alpha 106.30
_cell_angle_beta 90.33
_cell_angle_gamma 96.90
_space_group_name_H-M_alt 'P 1'
_space_group_IT_number 1
loop_
_space_group_symop_operation_xyz
'x,y,z'
loop_
_atom_site_label
_atom_site_type_symbol
_atom_site_fract_x
_atom_site_fract_y
_atom_site_fract_z
Na1 Na 0.240 0.066 0.137
Na2 Na 0.760 0.934 0.863
Nb1 Nb 0.352 0.192 0.705
Nb2 Nb 0.432 0.444 0.319
Nb3 Nb 0.568 0.556 0.681
Nb4 Nb 0.648 0.808 0.295
Se1 Se 0.277 0.718 0.984
Se2 Se 0.342 0.831 0.587
Se3 Se 0.658 0.169 0.413
Se4 Se 0.723 0.282 0.016
O1 O 0.029 0.574 0.691
O2 O 0.106 0.818 0.294
O3 O 0.239 0.868 0.961
O4 O 0.335 0.982 0.701
O5 O 0.362 0.125 0.514
O6 O 0.400 0.237 0.329
O7 O 0.412 0.232 0.891
O8 O 0.438 0.349 0.127
O9 O 0.464 0.376 0.700
O10 O 0.500 0.500 0.500
O11 O 0.536 0.624 0.300
O12 O 0.562 0.651 0.873
O13 O 0.588 0.768 0.109
O14 O 0.600 0.763 0.671
O15 O 0.638 0.875 0.486
O16 O 0.665 0.018 0.299
O17 O 0.761 0.132 0.039
O18 O 0.894 0.182 0.706
O19 O 0.971 0.426 0.309
```